This entry pairs a crystal structure of Cs2HfSe3 with its computed powder X-ray diffraction pattern. Radiation: Cu Kα, 1.54184 Å. Structure: a crystal structure in OQMD, relaxed with GGA-PBE.
Kinematic intensities with the Lorentz-polarization factor, no thermal factor.

Largest 10 diffraction maxima, most intense first, 10 to 80 degrees two-theta:
28.13 deg, I = 100, hkl 1 1 -2; 27.44 deg, I = 48, hkl 2 0 2; 38.30 deg, I = 32, hkl 3 1 0; 41.07 deg, I = 25, hkl 1 1 4; 21.12 deg, I = 21, hkl 2 0 -1; 44.40 deg, I = 18, hkl 0 2 0; 25.78 deg, I = 16, hkl 1 1 1; 52.99 deg, I = 15, hkl 2 2 2; 35.62 deg, I = 15, hkl 2 0 -4; 10.26 deg, I = 14, hkl 1 0 0

Atomic structure:
```
12
Lattice="8.6893 0.0000 0.0000 0.0000 4.0805 0.0000 -1.4009 0.0000 11.3808" Properties=species:S:1:pos:R:3 pbc="T T T"
Cs 0.4841 1.0201 1.6290
Cs 1.5053 3.0604 5.4506
Cs 5.7831 1.0201 5.9302
Cs 6.8043 3.0604 9.7517
Hf 2.3739 1.0201 9.5384
Hf 4.9145 3.0604 1.8423
Se 0.3339 1.0201 8.0433
Se 1.4620 3.0604 11.1864
Se 3.6214 1.0201 3.1115
Se 3.6670 3.0604 8.2693
Se 5.8264 1.0201 0.1944
Se 6.9545 3.0604 3.3375
```